Computed powder XRD pattern
Compound: CsNbNiO2F4
Radiation: CuKα
Structure: a cell relaxed with GGA+U
No peak broadening, texture or thermal motion is included.

Crystal structure
```
data_CsNbNiO2F4
_chemical_formula_sum 'Cs4 Nb4 Ni4 O8 F16'
_symmetry_space_group_name_H-M 'C 1 2 1'
_symmetry_Int_Tables_number 5
_symmetry_space_group_name_Hall 'C 2y'
_cell_length_a 10.5202
_cell_length_b 10.7827
_cell_length_c 7.4858
_cell_angle_alpha 90.00
_cell_angle_beta 134.64
_cell_angle_gamma 90.00
loop_
_atom_site_label
_atom_site_type_symbol
_atom_site_fract_x
_atom_site_fract_y
_atom_site_fract_z
Cs1 Cs 0.0000 0.0000 0.0000
Cs2 Cs 0.0000 0.2606 0.5000
Nb1 Nb 0.2425 0.8843 0.7605
Ni1 Ni 0.0011 0.6414 0.2521
O1 O 0.0000 0.3544 0.0000
O2 O 0.0000 0.9549 0.5000
O3 O 0.1891 0.7652 0.8686
F1 F 0.0000 0.5713 0.5000
F2 F 0.0000 0.7074 0.0000
F3 F 0.2019 0.5223 0.3917
F4 F 0.2019 0.7733 0.5032
F5 F 0.2060 0.5187 0.0050
```

Principal peaks in the range 2θ from 10° to 80°, sorted by position:
(hkl)  Position (°2θ)  Rel. int.
0 2 1  23.5  33
2 0 -2  23.8  28
1 3 -1  27.5  100
1 1 1  27.8  99
3 1 -1  28.0  94
2 2 -2  29.0  71
3 3 -3  44.2  62
0 4 2  48.0  35
4 4 -2  48.3  35
4 0 0  48.7  36